(1)
Diffraction record for MoIBr3. The powder X-ray diffraction pattern is theoretical, not measured: it uses a GGA-PBE-relaxed structure and Cu Ka.

The 12 most intense peaks (10° ≤ 2θ ≤ 90°), in order of falling intensity:
- d = 2.880 Å, I 100
- d = 6.188 Å, I 58
- d = 2.017 Å, I 47
- d = 3.272 Å, I 46
- d = 2.697 Å, I 45
- d = 4.512 Å, I 34
- d = 1.923 Å, I 30
- d = 3.339 Å, I 25
- d = 3.129 Å, I 21
- d = 5.850 Å, I 20
- d = 8.232 Å, I 19
- d = 2.064 Å, I 17

Cell and atoms:
a b c (Å): 9.1697 9.1697 6.5276
angles (deg): 104.36 104.36 127.72
Element x y z (fractional)
Mo1 0.0688 0.9312 0.5000
Mo2 0.9312 0.0688 0.0000
I1 0.5713 0.9236 0.9751
I2 0.9236 0.5713 0.4751
Br1 0.0715 0.4055 0.0288
Br2 0.1587 0.2651 0.4780
Br3 0.2651 0.1587 0.9780
Br4 0.4055 0.0715 0.5288
Br5 0.7366 0.8428 0.5220
Br6 0.8428 0.7366 0.0220

---

(2)
Diffraction record for Pr2IBrN. The powder X-ray diffraction pattern is theoretical, not measured: it uses a GGA-PBE-relaxed structure and Cu Ka.

The 12 most intense peaks (10° ≤ 2θ ≤ 90°), in order of falling intensity:
- d = 3.220 Å, I 100
- d = 2.725 Å, I 31
- d = 3.275 Å, I 25
- d = 2.593 Å, I 20
- d = 2.753 Å, I 17
- d = 2.054 Å, I 17
- d = 3.297 Å, I 16
- d = 4.547 Å, I 15
- d = 2.535 Å, I 14
- d = 2.371 Å, I 14
- d = 1.741 Å, I 13
- d = 2.207 Å, I 12

Cell and atoms:
a b c (Å): 8.6962 8.6962 11.7316
angles (deg): 127.87 127.87 27.32
Element x y z (fractional)
Pr1 0.1010 0.1010 0.3883
Pr2 0.3854 0.3854 0.3211
Pr3 0.6146 0.6146 0.6789
Pr4 0.8990 0.8990 0.6117
I1 0.3079 0.3079 0.7415
I2 0.6921 0.6921 0.2585
Br1 0.1202 0.1202 0.8874
Br2 0.8798 0.8798 0.1126
N1 0.4418 0.4418 0.5610
N2 0.5582 0.5582 0.4390

---

(3)
Diffraction record for Na8I3Br4. The powder X-ray diffraction pattern is theoretical, not measured: it uses a GGA-PBE-relaxed structure and Cu Ka.

The 12 most intense peaks (10° ≤ 2θ ≤ 90°), in order of falling intensity:
- d = 3.134 Å, I 100
- d = 2.219 Å, I 37
- d = 3.626 Å, I 31
- d = 3.611 Å, I 31
- d = 2.216 Å, I 25
- d = 1.892 Å, I 20
- d = 1.402 Å, I 16
- d = 6.264 Å, I 13
- d = 1.813 Å, I 13
- d = 1.805 Å, I 13
- d = 2.208 Å, I 12
- d = 1.282 Å, I 12

Cell and atoms:
a b c (Å): 8.8626 8.8626 8.8322
angles (deg): 119.85 119.85 90.10
Element x y z (fractional)
Na1 0.2379 0.2379 0.4858
Na2 0.2410 0.2410 0.9941
Na3 0.2434 0.7566 0.0000
Na4 0.2461 0.7539 0.5000
Na5 0.7539 0.2461 0.5000
Na6 0.7566 0.2434 0.0000
Na7 0.7590 0.7590 0.0059
Na8 0.7621 0.7621 0.5142
I1 0.0000 0.5000 0.5000
I2 0.5000 0.0000 0.5000
I3 0.5000 0.5000 0.0000
Br1 0.0000 0.0000 0.0000
Br2 0.0000 0.0000 0.5000
Br3 0.0000 0.5000 0.0000
Br4 0.5000 0.0000 0.0000

---

(4)
Diffraction record for Na2I3Br6. The powder X-ray diffraction pattern is theoretical, not measured: it uses a GGA-PBE-relaxed structure and Cu Ka.

The 12 most intense peaks (10° ≤ 2θ ≤ 90°), in order of falling intensity:
- d = 3.542 Å, I 100
- d = 4.233 Å, I 43
- d = 4.373 Å, I 41
- d = 2.352 Å, I 31
- d = 1.802 Å, I 28
- d = 2.467 Å, I 26
- d = 2.004 Å, I 26
- d = 2.806 Å, I 25
- d = 2.362 Å, I 21
- d = 2.168 Å, I 15
- d = 1.391 Å, I 12
- d = 1.990 Å, I 11

Cell and atoms:
a b c (Å): 7.4004 7.4004 17.3029
angles (deg): 100.70 100.70 72.44
Element x y z (fractional)
Na1 0.1791 0.6789 0.9982
Na2 0.3211 0.8209 0.5018
Na3 0.6789 0.1791 0.4982
Na4 0.8209 0.3211 0.0018
I1 0.0524 0.9476 0.7500
I2 0.2673 0.4004 0.2489
I3 0.4004 0.2673 0.7489
I4 0.5996 0.7327 0.2511
I5 0.7327 0.5996 0.7511
I6 0.9476 0.0524 0.2500
Br1 0.0099 0.1118 0.4104
Br2 0.1118 0.0099 0.9104
Br3 0.2103 0.3509 0.0882
Br4 0.3282 0.4352 0.4093
Br5 0.3509 0.2103 0.5882
Br6 0.4352 0.3282 0.9093
Br7 0.5648 0.6718 0.0907
Br8 0.6491 0.7897 0.4118
Br9 0.6718 0.5648 0.5907
Br10 0.7897 0.6491 0.9118
Br11 0.8882 0.9901 0.0896
Br12 0.9901 0.8882 0.5896

---

(5)
Diffraction record for Na4IBr2. The powder X-ray diffraction pattern is theoretical, not measured: it uses a GGA-PBE-relaxed structure and Cu Ka.

The 12 most intense peaks (10° ≤ 2θ ≤ 90°), in order of falling intensity:
- d = 4.146 Å, I 100
- d = 2.808 Å, I 88
- d = 2.931 Å, I 73
- d = 3.944 Å, I 71
- d = 2.028 Å, I 67
- d = 7.997 Å, I 62
- d = 2.353 Å, I 35
- d = 2.073 Å, I 27
- d = 1.449 Å, I 22
- d = 1.854 Å, I 21
- d = 2.752 Å, I 19
- d = 1.668 Å, I 18

Cell and atoms:
a b c (Å): 9.0075 9.0075 9.0075
angles (deg): 142.02 142.02 54.80
Element x y z (fractional)
Na1 0.0000 0.5000 0.5000
Na2 0.2106 0.2106 0.0000
Na3 0.5000 0.0000 0.5000
Na4 0.7894 0.7894 0.0000
I1 0.0000 0.0000 0.0000
Br1 0.3853 0.3853 0.0000
Br2 0.6147 0.6147 0.0000

---

(6)
Diffraction record for Na3IBr6. The powder X-ray diffraction pattern is theoretical, not measured: it uses a GGA-PBE-relaxed structure and Cu Ka.

The 12 most intense peaks (10° ≤ 2θ ≤ 90°), in order of falling intensity:
- d = 3.945 Å, I 100
- d = 4.967 Å, I 46
- d = 3.294 Å, I 39
- d = 3.227 Å, I 34
- d = 2.617 Å, I 32
- d = 4.018 Å, I 29
- d = 2.666 Å, I 28
- d = 2.483 Å, I 24
- d = 2.428 Å, I 24
- d = 6.030 Å, I 22
- d = 4.192 Å, I 22
- d = 2.009 Å, I 21

Cell and atoms:
a b c (Å): 6.4278 7.8726 14.9416
angles (deg): 90.00 110.26 90.00
Element x y z (fractional)
Na1 0.0000 0.0000 0.0000
Na2 0.0000 0.5000 0.5000
Na3 0.2606 0.1517 0.7450
Na4 0.2606 0.3483 0.2450
Na5 0.7394 0.6517 0.7550
Na6 0.7394 0.8483 0.2550
I1 0.5000 0.0000 0.5000
I2 0.5000 0.5000 0.0000
Br1 0.0687 0.0106 0.2005
Br2 0.0687 0.4894 0.7005
Br3 0.3189 0.6997 0.1066
Br4 0.3189 0.8003 0.6066
Br5 0.4088 0.2204 0.0862
Br6 0.4088 0.2796 0.5862
Br7 0.5912 0.7204 0.4138
Br8 0.5912 0.7796 0.9138
Br9 0.6811 0.1997 0.3934
Br10 0.6811 0.3003 0.8934
Br11 0.9313 0.5106 0.2995
Br12 0.9313 0.9894 0.7995